Structure and computed X-ray diffraction stick pattern of Tb2Ga3Fe (a structure optimized by DFT (GGA-PBE); Cu Kα (λ = 1.5418 Å)).
Neutral-atom scattering factors, no anomalous dispersion.

The 6 most intense peaks (10 to 90 degrees two-theta), by angle:
(1 0 0), 23.90°, rel. 18; (1 0 2), 33.80°, rel. 100; (1 1 0), 42.03°, rel. 48; (2 0 2), 54.98°, rel. 25; (1 1 4), 65.82°, rel. 22; (2 1 2), 71.54°, rel. 22

Cell and atoms:
Unit cell a=4.300 b=4.300 c=7.556 alpha=90.00 beta=90.00 gamma=120.00
Fractional coordinates of all 6 atoms:
Tb 0.000 0.000 0.233
Tb 0.000 0.000 0.767
Ga 0.333 0.667 0.000
Ga 0.333 0.667 0.500
Ga 0.667 0.333 0.500
Fe 0.667 0.333 0.000

Structure and computed X-ray diffraction stick pattern of Tb2Ga8Fe (a structure optimized by DFT (GGA-PBE); Cu Kα (λ = 1.5418 Å)).
Neutral-atom scattering factors, no anomalous dispersion.

The 6 most intense peaks (10 to 90 degrees two-theta), by angle:
(1 1 2), 33.78°, rel. 60; (1 1 3), 38.43°, rel. 100; (0 0 5), 40.46°, rel. 25; (2 0 0), 42.37°, rel. 61; (2 0 5), 60.02°, rel. 31; (3 1 3), 74.87°, rel. 27

Cell and atoms:
Unit cell a=4.267 b=4.267 c=11.147 alpha=90.00 beta=90.00 gamma=90.00
Fractional coordinates of all 11 atoms:
Tb 0.000 0.000 0.196
Tb 0.000 0.000 0.804
Ga 0.000 0.500 0.000
Ga 0.000 0.500 0.386
Ga 0.000 0.500 0.614
Ga 0.500 0.000 0.000
Ga 0.500 0.000 0.386
Ga 0.500 0.000 0.614
Ga 0.500 0.500 0.198
Ga 0.500 0.500 0.802
Fe 0.000 0.000 0.500